(1)
# TmNiRh
Computed PXRD pattern, Cu Kα X-rays. Input: the GGA-PBE geometry in Alexandria.
Peak positions follow from Bragg's law for the DFT cell and can differ from measured ones.

Peak list (10 most intense, 2θ = 10–80°, most intense first)
2θ = 40.01°, I 1000
2θ = 34.75°, I 795
2θ = 41.77°, I 770
2θ = 41.36°, I 397
2θ = 73.34°, I 356
2θ = 40.76°, I 345
2θ = 36.01°, I 279
2θ = 44.00°, I 238
2θ = 67.43°, I 212
2θ = 60.40°, I 163

Crystal structure
```
data_TmNiRh
_chemical_formula_sum 'Tm4 Ni4 Rh4'
_space_group_name_H-M_alt 'P 1'
_space_group_IT_number 1
_cell_length_a 4.988
_cell_length_b 5.387
_cell_length_c 7.284
_cell_angle_alpha 90.00
_cell_angle_beta 90.00
_cell_angle_gamma 90.00
loop_
_space_group_symop_operation_xyz
'x,y,z'
loop_
_atom_site_label
_atom_site_type_symbol
_atom_site_fract_x
_atom_site_fract_y
_atom_site_fract_z
Tm1 Tm 0.000 0.250 0.120
Tm2 Tm 0.000 0.750 0.880
Tm3 Tm 0.500 0.250 0.380
Tm4 Tm 0.500 0.750 0.620
Ni1 Ni 0.250 0.250 0.750
Ni2 Ni 0.250 0.750 0.250
Ni3 Ni 0.750 0.250 0.750
Ni4 Ni 0.750 0.750 0.250
Rh1 Rh 0.000 0.000 0.500
Rh2 Rh 0.000 0.500 0.500
Rh3 Rh 0.500 0.000 0.000
Rh4 Rh 0.500 0.500 0.000
```


(2)
# Tm7Ni2Rh2
Computed PXRD pattern, Cu Kα X-rays. Input: the GGA-PBE geometry in Alexandria.
Peak positions follow from Bragg's law for the DFT cell and can differ from measured ones.

Peak list (10 most intense, 2θ = 10–80°, most intense first)
2θ = 38.83°, I 1000
2θ = 28.09°, I 636
2θ = 35.43°, I 520
2θ = 29.85°, I 349
2θ = 25.48°, I 331
2θ = 44.43°, I 290
2θ = 39.22°, I 286
2θ = 58.07°, I 244
2θ = 34.38°, I 178
2θ = 65.88°, I 176

Crystal structure
```
data_Tm7Ni2Rh2
_chemical_formula_sum 'Tm7 Ni2 Rh2'
_space_group_name_H-M_alt 'P 1'
_space_group_IT_number 1
_cell_length_a 6.504
_cell_length_b 6.504
_cell_length_c 6.787
_cell_angle_alpha 90.00
_cell_angle_beta 90.00
_cell_angle_gamma 102.35
loop_
_space_group_symop_operation_xyz
'x,y,z'
loop_
_atom_site_label
_atom_site_type_symbol
_atom_site_fract_x
_atom_site_fract_y
_atom_site_fract_z
Tm1 Tm 0.000 0.000 0.000
Tm2 Tm 0.000 0.500 0.263
Tm3 Tm 0.000 0.500 0.737
Tm4 Tm 0.500 0.000 0.263
Tm5 Tm 0.500 0.000 0.737
Tm6 Tm 0.500 0.500 0.261
Tm7 Tm 0.500 0.500 0.739
Ni1 Ni 0.230 0.230 0.500
Ni2 Ni 0.770 0.770 0.500
Rh1 Rh 0.278 0.722 0.000
Rh2 Rh 0.722 0.278 0.000
```


(3)
# Tm2ZnNi2Rh5
Computed PXRD pattern, Cu Kα X-rays. Input: the GGA-PBE geometry in Alexandria.
Peak positions follow from Bragg's law for the DFT cell and can differ from measured ones.

Peak list (10 most intense, 2θ = 10–80°, most intense first)
2θ = 39.23°, I 1000
2θ = 40.94°, I 510
2θ = 32.16°, I 412
2θ = 42.99°, I 328
2θ = 47.61°, I 295
2θ = 64.56°, I 295
2θ = 36.54°, I 214
2θ = 42.18°, I 201
2θ = 44.58°, I 131
2θ = 46.50°, I 127

Crystal structure
```
data_Tm2ZnNi2Rh5
_chemical_formula_sum 'Tm4 Zn2 Ni4 Rh10'
_space_group_name_H-M_alt 'P 1'
_space_group_IT_number 1
_cell_length_a 9.089
_cell_length_b 9.089
_cell_length_c 3.820
_cell_angle_alpha 90.00
_cell_angle_beta 90.00
_cell_angle_gamma 90.00
loop_
_space_group_symop_operation_xyz
'x,y,z'
loop_
_atom_site_label
_atom_site_type_symbol
_atom_site_fract_x
_atom_site_fract_y
_atom_site_fract_z
Tm1 Tm 0.174 0.326 0.000
Tm2 Tm 0.326 0.826 0.000
Tm3 Tm 0.674 0.174 0.000
Tm4 Tm 0.826 0.674 0.000
Zn1 Zn 0.000 0.000 0.000
Zn2 Zn 0.500 0.500 0.000
Ni1 Ni 0.124 0.624 0.000
Ni2 Ni 0.376 0.124 0.000
Ni3 Ni 0.624 0.876 0.000
Ni4 Ni 0.876 0.376 0.000
Rh1 Rh 0.000 0.500 0.500
Rh2 Rh 0.068 0.796 0.500
Rh3 Rh 0.204 0.068 0.500
Rh4 Rh 0.296 0.568 0.500
Rh5 Rh 0.432 0.296 0.500
Rh6 Rh 0.500 0.000 0.500
Rh7 Rh 0.568 0.704 0.500
Rh8 Rh 0.704 0.432 0.500
Rh9 Rh 0.796 0.932 0.500
Rh10 Rh 0.932 0.204 0.500
```


(4)
# U4NiRh12
Computed PXRD pattern, Cu Kα X-rays. Input: the GGA-PBE geometry in Alexandria.
Peak positions follow from Bragg's law for the DFT cell and can differ from measured ones.

Peak list (10 most intense, 2θ = 10–80°, most intense first)
2θ = 37.89°, I 1000
2θ = 44.03°, I 547
2θ = 76.88°, I 340
2θ = 64.03°, I 336
2θ = 30.74°, I 213
2θ = 21.61°, I 107
2θ = 49.56°, I 80
2θ = 54.66°, I 70
2θ = 72.70°, I 62
2θ = 68.43°, I 47

Crystal structure
```
data_U4NiRh12
_chemical_formula_sum 'U4 Ni1 Rh12'
_space_group_name_H-M_alt 'P 1'
_space_group_IT_number 1
_cell_length_a 7.124
_cell_length_b 7.124
_cell_length_c 7.124
_cell_angle_alpha 109.47
_cell_angle_beta 109.47
_cell_angle_gamma 109.47
loop_
_space_group_symop_operation_xyz
'x,y,z'
loop_
_atom_site_label
_atom_site_type_symbol
_atom_site_fract_x
_atom_site_fract_y
_atom_site_fract_z
U1 U 0.000 0.000 0.500
U2 U 0.000 0.500 0.000
U3 U 0.500 0.000 0.000
U4 U 0.500 0.500 0.500
Ni1 Ni 0.000 0.000 0.000
Rh1 Rh 0.000 0.285 0.285
Rh2 Rh 0.000 0.715 0.715
Rh3 Rh 0.250 0.500 0.750
Rh4 Rh 0.250 0.750 0.500
Rh5 Rh 0.285 0.000 0.285
Rh6 Rh 0.285 0.285 0.000
Rh7 Rh 0.500 0.250 0.750
Rh8 Rh 0.500 0.750 0.250
Rh9 Rh 0.715 0.000 0.715
Rh10 Rh 0.715 0.715 0.000
Rh11 Rh 0.750 0.250 0.500
Rh12 Rh 0.750 0.500 0.250
```


(5)
# UNi3Rh2
Computed PXRD pattern, Cu Kα X-rays. Input: the GGA-PBE geometry in Alexandria.
Peak positions follow from Bragg's law for the DFT cell and can differ from measured ones.

Peak list (10 most intense, 2θ = 10–80°, most intense first)
2θ = 42.46°, I 1000
2θ = 41.26°, I 931
2θ = 40.97°, I 646
2θ = 43.28°, I 509
2θ = 26.52°, I 469
2θ = 61.12°, I 388
2θ = 20.29°, I 265
2θ = 76.47°, I 233
2θ = 21.25°, I 207
2θ = 40.64°, I 158

Crystal structure
```
data_UNi3Rh2
_chemical_formula_sum 'U2 Ni6 Rh4'
_space_group_name_H-M_alt 'P 1'
_space_group_IT_number 1
_cell_length_a 8.519
_cell_length_b 7.911
_cell_length_c 4.997
_cell_angle_alpha 79.08
_cell_angle_beta 65.75
_cell_angle_gamma 35.17
loop_
_space_group_symop_operation_xyz
'x,y,z'
loop_
_atom_site_label
_atom_site_type_symbol
_atom_site_fract_x
_atom_site_fract_y
_atom_site_fract_z
U1 U 0.154 0.154 0.846
U2 U 0.846 0.846 0.154
Ni1 Ni 0.179 0.656 0.344
Ni2 Ni 0.325 0.325 0.675
Ni3 Ni 0.344 0.821 0.179
Ni4 Ni 0.656 0.179 0.821
Ni5 Ni 0.675 0.675 0.325
Ni6 Ni 0.821 0.344 0.656
Rh1 Rh 0.250 0.250 0.250
Rh2 Rh 0.254 0.746 0.746
Rh3 Rh 0.746 0.254 0.254
Rh4 Rh 0.750 0.750 0.750
```


(6)
# VNi2Rh8
Computed PXRD pattern, Cu Kα X-rays. Input: the GGA-PBE geometry in Alexandria.
Peak positions follow from Bragg's law for the DFT cell and can differ from measured ones.

Peak list (10 most intense, 2θ = 10–80°, most intense first)
2θ = 42.69°, I 1000
2θ = 42.48°, I 804
2θ = 45.07°, I 435
2θ = 44.34°, I 408
2θ = 36.87°, I 287
2θ = 65.07°, I 259
2θ = 29.14°, I 161
2θ = 58.42°, I 125
2θ = 32.02°, I 116
2θ = 76.71°, I 108

Crystal structure
```
data_VNi2Rh8
_chemical_formula_sum 'V1 Ni2 Rh8'
_space_group_name_H-M_alt 'P 1'
_space_group_IT_number 1
_cell_length_a 6.319
_cell_length_b 6.319
_cell_length_c 4.023
_cell_angle_alpha 90.00
_cell_angle_beta 90.00
_cell_angle_gamma 104.08
loop_
_space_group_symop_operation_xyz
'x,y,z'
loop_
_atom_site_label
_atom_site_type_symbol
_atom_site_fract_x
_atom_site_fract_y
_atom_site_fract_z
V1 V 0.000 0.000 0.000
Ni1 Ni 0.384 0.616 0.500
Ni2 Ni 0.616 0.384 0.500
Rh1 Rh 0.035 0.299 0.500
Rh2 Rh 0.254 0.746 0.000
Rh3 Rh 0.299 0.035 0.500
Rh4 Rh 0.330 0.330 0.000
Rh5 Rh 0.670 0.670 0.000
Rh6 Rh 0.701 0.965 0.500
Rh7 Rh 0.746 0.254 0.000
Rh8 Rh 0.965 0.701 0.500
```


(7)
# V2Ni7Rh3
Computed PXRD pattern, Cu Kα X-rays. Input: the GGA-PBE geometry in Alexandria.
Peak positions follow from Bragg's law for the DFT cell and can differ from measured ones.

Peak list (10 most intense, 2θ = 10–80°, most intense first)
2θ = 43.32°, I 1000
2θ = 46.07°, I 565
2θ = 44.85°, I 535
2θ = 43.54°, I 364
2θ = 43.81°, I 310
2θ = 64.51°, I 246
2θ = 49.31°, I 232
2θ = 37.08°, I 232
2θ = 41.41°, I 191
2θ = 25.21°, I 175

Crystal structure
```
data_V2Ni7Rh3
_chemical_formula_sum 'V2 Ni7 Rh3'
_space_group_name_H-M_alt 'P 1'
_space_group_IT_number 1
_cell_length_a 14.608
_cell_length_b 14.608
_cell_length_c 4.042
_cell_angle_alpha 90.00
_cell_angle_beta 90.00
_cell_angle_gamma 169.45
loop_
_space_group_symop_operation_xyz
'x,y,z'
loop_
_atom_site_label
_atom_site_type_symbol
_atom_site_fract_x
_atom_site_fract_y
_atom_site_fract_z
V1 V 0.139 0.861 0.000
V2 V 0.861 0.139 0.000
Ni1 Ni 0.083 0.917 0.500
Ni2 Ni 0.216 0.784 0.000
Ni3 Ni 0.428 0.572 0.000
Ni4 Ni 0.500 0.500 0.500
Ni5 Ni 0.572 0.428 0.000
Ni6 Ni 0.784 0.216 0.000
Ni7 Ni 0.917 0.083 0.500
Rh1 Rh 0.000 0.000 0.000
Rh2 Rh 0.331 0.669 0.500
Rh3 Rh 0.669 0.331 0.500
```


(8)
# VNi12Rh6
Computed PXRD pattern, Cu Kα X-rays. Input: the GGA-PBE geometry in Alexandria.
Peak positions follow from Bragg's law for the DFT cell and can differ from measured ones.

Peak list (10 most intense, 2θ = 10–80°, most intense first)
2θ = 43.97°, I 1000
2θ = 41.59°, I 984
2θ = 42.96°, I 915
2θ = 44.68°, I 910
2θ = 40.79°, I 893
2θ = 47.57°, I 556
2θ = 43.23°, I 484
2θ = 45.41°, I 474
2θ = 47.20°, I 406
2θ = 44.82°, I 354

Crystal structure
```
data_VNi12Rh6
_chemical_formula_sum 'V1 Ni12 Rh6'
_space_group_name_H-M_alt 'P 1'
_space_group_IT_number 1
_cell_length_a 6.353
_cell_length_b 6.576
_cell_length_c 6.806
_cell_angle_alpha 101.62
_cell_angle_beta 99.82
_cell_angle_gamma 117.56
loop_
_space_group_symop_operation_xyz
'x,y,z'
loop_
_atom_site_label
_atom_site_type_symbol
_atom_site_fract_x
_atom_site_fract_y
_atom_site_fract_z
V1 V 0.000 0.000 0.000
Ni1 Ni 0.009 0.341 0.863
Ni2 Ni 0.060 0.988 0.669
Ni3 Ni 0.157 0.696 0.505
Ni4 Ni 0.201 0.413 0.251
Ni5 Ni 0.365 0.152 0.306
Ni6 Ni 0.396 0.295 0.990
Ni7 Ni 0.604 0.705 0.010
Ni8 Ni 0.635 0.848 0.694
Ni9 Ni 0.799 0.587 0.749
Ni10 Ni 0.843 0.304 0.495
Ni11 Ni 0.940 0.012 0.331
Ni12 Ni 0.991 0.659 0.137
Rh1 Rh 0.271 0.818 0.903
Rh2 Rh 0.306 0.414 0.633
Rh3 Rh 0.484 0.853 0.315
Rh4 Rh 0.516 0.147 0.685
Rh5 Rh 0.694 0.586 0.367
Rh6 Rh 0.729 0.182 0.097
```